(1)
Simulated XRD peak list of ScCrC2 for Cu Kα, 1.54184 Å, from a cell relaxed with GGA-PBE.

Crystal structure
a b c (Å): 3.2584 3.2584 9.0281
angles (deg): 90.00 90.00 120.00
Space group P6_3/mmc (No. 194)
Symmetry-distinct sites (fractional):
Sc 0.0000 0.0000 0.0000
Cr 0.3333 0.6667 0.2500
C 0.3333 0.6667 0.6654

Peak list (8 most intense, 10 to 90 degrees two-theta, low angle first)
33.26°, intensity 23, hkl 1 0 1
37.59°, intensity 100, hkl 1 0 2
39.94°, intensity 18, hkl 0 0 4
43.99°, intensity 23, hkl 1 0 3
56.48°, intensity 31, hkl 1 1 0
60.91°, intensity 13, hkl 1 0 5
69.84°, intensity 13, hkl 2 0 2
71.41°, intensity 17, hkl 1 1 4

(2)
Simulated XRD peak list of ScCrC2 for Cu Kα, 1.54184 Å, from a cell relaxed with GGA-PBE.

Crystal structure
a b c (Å): 3.246 9.037 5.661
angles (deg): 90.00 90.00 90.00
Space group Pmmn (No. 59, origin choice 2)
Symmetry-distinct sites (fractional):
Sc 0.250 0.001 0.248
Cr 0.250 0.250 0.908
Cr 0.250 0.750 0.578
C 0.250 0.164 0.582
C 0.250 0.667 0.915

Peak list (8 most intense, 10 to 90 degrees two-theta, low angle first)
33.33°, intensity 22, hkl 1 1 1
37.49°, intensity 49, hkl 0 2 2
37.64°, intensity 100, hkl 1 2 1
39.90°, intensity 27, hkl 0 4 0
44.02°, intensity 23, hkl 1 3 1
56.40°, intensity 31, hkl 1 0 3
60.87°, intensity 19, hkl 0 5 2
71.30°, intensity 17, hkl 1 4 3

(3)
Simulated XRD peak list of Cr2SiC for Cu Kα, 1.54184 Å, from a cell relaxed with GGA-PBE.

Crystal structure
a b c (Å): 2.8744 2.8744 11.9139
angles (deg): 90.00 90.00 120.00
Space group P6_3/mmc (No. 194)
Symmetry-distinct sites (fractional):
Cr 0.3333 0.6667 0.0896
Si 0.3333 0.6667 0.7500
C 0.0000 0.0000 0.0000

Peak list (8 most intense, 10 to 90 degrees two-theta, low angle first)
14.87°, intensity 16, hkl 0 0 2
36.08°, intensity 20, hkl 1 0 0
42.88°, intensity 100, hkl 1 0 3
45.69°, intensity 15, hkl 0 0 6
59.56°, intensity 14, hkl 1 0 6
64.88°, intensity 20, hkl 1 1 0
80.95°, intensity 13, hkl 2 0 3
82.93°, intensity 14, hkl 1 1 6

(4)
Simulated XRD peak list of SmCr2Si2C for Cu Kα, 1.54184 Å, from a cell relaxed with GGA-PBE.

Crystal structure
a b c (Å): 3.982 3.982 5.311
angles (deg): 90.00 90.00 90.00
Space group P4/mmm (No. 123)
Symmetry-distinct sites (fractional):
Sm 0.000 0.000 0.000
Cr 0.000 0.500 0.500
Si 0.500 0.500 0.232
C 0.000 0.000 0.500

Peak list (8 most intense, 10 to 90 degrees two-theta, low angle first)
22.33°, intensity 27, hkl 1 0 0
28.01°, intensity 52, hkl 1 0 1
33.76°, intensity 21, hkl 0 0 2
36.11°, intensity 100, hkl 1 1 1
40.85°, intensity 51, hkl 1 0 2
45.56°, intensity 41, hkl 2 0 0
62.83°, intensity 28, hkl 2 1 2
77.98°, intensity 20, hkl 3 1 1

(5)
Simulated XRD peak list of UCr4C4 for Cu Kα, 1.54184 Å, from a cell relaxed with GGA-PBE.

Crystal structure
a b c (Å): 7.954 7.954 3.020
angles (deg): 90.00 90.00 90.00
Space group I4/m (No. 87)
Symmetry-distinct sites (fractional):
U 0.000 0.000 0.000
Cr 0.135 0.679 0.500
C 0.096 0.235 0.500

Peak list (8 most intense, 10 to 90 degrees two-theta, low angle first)
15.76°, intensity 63, hkl 1 1 0
31.69°, intensity 29, hkl 1 0 1
31.82°, intensity 23, hkl 2 2 0
35.70°, intensity 71, hkl 3 1 0
39.13°, intensity 100, hkl 1 2 1
45.54°, intensity 18, hkl 3 0 1
51.34°, intensity 41, hkl 2 4 0
66.43°, intensity 38, hkl 5 0 1

(6)
Simulated XRD peak list of VCrC2 for Cu Kα, 1.54184 Å, from a cell relaxed with GGA-PBE.

Crystal structure
a b c (Å): 2.9213 2.9213 14.2182
angles (deg): 90.00 90.00 120.00
Space group R-3m (No. 166, hexagonal axes)
Symmetry-distinct sites (fractional):
V 0.0000 0.0000 0.0000
Cr 0.0000 0.0000 0.5000
C 0.0000 0.0000 0.2488

Peak list (8 most intense, 10 to 90 degrees two-theta, low angle first)
37.74°, intensity 73, hkl 0 1 2
37.97°, intensity 24, hkl 0 0 6
43.93°, intensity 100, hkl 1 0 4
63.71°, intensity 28, hkl 1 1 0
64.03°, intensity 28, hkl 0 1 8
76.49°, intensity 8, hkl 2 0 2
76.63°, intensity 16, hkl 1 1 6
80.62°, intensity 13, hkl 0 2 4